Simulated X-ray powder pattern of FeCuP2O8 for Cu Kα (weighted mean of Kα1 and Kα2), from a structure optimized by DFT (GGA+U).

Cell and atoms:
a b c (Å): 8.507 8.507 8.507
angles (deg): 60.81 60.81 60.81
Fractional positions:
Fe: 0.000 0.000 0.000
Fe: 0.212 0.212 0.212
Fe: 0.500 0.500 0.500
Cu: 0.357 0.357 0.357
Cu: 0.713 0.713 0.713
Cu: 0.856 0.856 0.856
P: 0.104 0.402 0.810
P: 0.313 0.902 0.606
P: 0.402 0.810 0.104
P: 0.606 0.313 0.902
P: 0.810 0.104 0.402
P: 0.902 0.606 0.313
O: 0.043 0.244 0.846
O: 0.106 0.451 0.287
O: 0.116 0.908 0.770
O: 0.178 0.358 0.964
O: 0.244 0.846 0.043
O: 0.256 0.434 0.605
O: 0.287 0.106 0.451
O: 0.358 0.964 0.178
O: 0.361 0.748 0.533
O: 0.434 0.605 0.256
O: 0.451 0.287 0.106
O: 0.468 0.876 0.668
O: 0.533 0.361 0.748
O: 0.596 0.813 0.936
O: 0.605 0.256 0.434
O: 0.668 0.468 0.876
O: 0.748 0.533 0.361
O: 0.770 0.116 0.908
O: 0.813 0.936 0.596
O: 0.846 0.043 0.244
O: 0.876 0.668 0.468
O: 0.908 0.770 0.116
O: 0.936 0.596 0.813
O: 0.964 0.178 0.358

Peak list (10 most intense, 15° ≤ 2θ ≤ 90°, low angle first)
20.63 deg, intensity 100
24.36 deg, intensity 94
25.39 deg, intensity 18
33.27 deg, intensity 79
36.13 deg, intensity 45
47.70 deg, intensity 35
49.93 deg, intensity 30
56.55 deg, intensity 27
56.99 deg, intensity 17
63.16 deg, intensity 24